Diffraction record for Al7W5. The PXRD pattern is computed, not measured: it uses a cell relaxed with PBE and Cu Kα, 1.54184 Å.

Most intense lines, 2θ = 10–90°, sorted by position:
2theta	intensity	(hkl)
10.3	100	0 0 2
20.2	69	1 0 1
28.6	15	1 0 4
40.2	48	1 1 4
41.0	15	2 0 2
41.8	19	1 0 7
42.1	17	0 0 8
42.7	47	2 0 3
47.9	28	2 0 5
86.9	13	2 2 8

Structural model:
Lattice parameters (Å, degrees): 5.2612 5.2612 17.1651 90.00 90.00 120.00
Space group P6_3/mmc (No. 194)
Unique sites:
Al 0.0000 0.0000 0.1074
Al 0.0000 0.5000 0.0000
Al 0.3333 0.6667 0.1626
W 0.1618 0.3236 0.7500
W 0.3333 0.6667 0.6223